# PrDy4Er
Simulated powder diffractogram, Cu Kα (weighted mean of Kα1 and Kα2). Input: the GGA-PBE geometry in Alexandria.
Neutral-atom scattering factors, no anomalous dispersion.

Crystal structure
```
data_PrDy4Er
_chemical_formula_sum 'Pr1 Dy4 Er1'
_symmetry_space_group_name_H-M 'P -1'
_symmetry_Int_Tables_number 2
_symmetry_space_group_name_Hall '-P 1'
_cell_length_a 3.560
_cell_length_b 6.165
_cell_length_c 9.436
_cell_angle_alpha 77.32
_cell_angle_beta 79.25
_cell_angle_gamma 73.40
loop_
_atom_site_label
_atom_site_fract_x
_atom_site_fract_y
_atom_site_fract_z
_atom_site_occupancy
Pr1 0.000 0.000 0.000 1
Dy1 0.333 0.502 0.830 1
Dy2 0.333 0.999 0.337 1
Er1 0.000 0.500 0.500 1
```

Principal peaks in the range 15 to 90 degrees two-theta, sorted by position:
- 30.67°, intensity 34
- 30.75°, intensity 100
- 35.60°, intensity 45
- 35.69°, intensity 22
- 51.20°, intensity 16
- 51.32°, intensity 32
- 60.93°, intensity 24
- 61.04°, intensity 24
- 64.05°, intensity 12
- 83.57°, intensity 6
- 83.70°, intensity 10
- 86.32°, intensity 6